(1)
The following is a calculated X-ray diffraction stick pattern of Sr2In9Rh3. It was derived from DFT lattice parameters and positions (GGA-PBE), using Cu Kα.
Neutral-atom scattering factors, no anomalous dispersion.

Top 10 peaks for 10° ≤ 2θ ≤ 80°, by intensity:
2theta, intensity, index
33.1, 100, 3 1 2
37.7, 79, 3 3 -1
33.2, 52, 0 2 3
37.5, 40, 6 0 -2
40.1, 36, 3 1 -5
33.5, 34, 0 0 4
41.4, 31, 3 3 1
65.1, 21, 6 4 1
65.2, 19, 3 5 -4
16.6, 17, 0 0 2

Crystal structure
```
data_Sr2In9Rh3
_symmetry_space_group_name_H-M 'C 1 2/c 1'
_symmetry_Int_Tables_number 15
_symmetry_space_group_name_Hall '-C 2yc'
_cell_length_a 14.392
_cell_length_b 8.263
_cell_length_c 11.723
_cell_angle_alpha 90.00
_cell_angle_beta 114.19
_cell_angle_gamma 90.00
loop_
_atom_site_label
_atom_site_type_symbol
_atom_site_fract_x
_atom_site_fract_y
_atom_site_fract_z
Sr1 Sr 0.169 0.083 0.250
In1 In 0.000 0.358 0.250
In2 In 0.060 0.081 0.927
In3 In 0.103 0.414 0.057
In4 In 0.110 0.309 0.749
In5 In 0.227 0.416 0.430
Rh1 Rh 0.086 0.245 0.501
Rh2 Rh 0.250 0.250 0.000
```



(2)
The following is a calculated X-ray diffraction stick pattern of Sr2ZnIn6Rh. It was derived from DFT lattice parameters and positions (GGA-PBE), using Cu Kα.
Neutral-atom scattering factors, no anomalous dispersion.

Top 10 peaks for 10° ≤ 2θ ≤ 80°, by intensity:
2theta, intensity, index
34.2, 100, 0 4 0
49.2, 47, 0 4 2
29.4, 44, 2 2 0
29.7, 43, 2 2 -2
16.9, 28, 0 2 0
58.2, 12, 2 2 2
61.0, 12, 4 4 0
58.6, 12, 2 6 -2
48.8, 12, 4 0 0
61.6, 12, 4 4 -4

Crystal structure
```
data_Sr2ZnIn6Rh
_symmetry_space_group_name_H-M 'C 1 2/m 1'
_symmetry_Int_Tables_number 12
_symmetry_space_group_name_Hall '-C 2y'
_cell_length_a 10.477
_cell_length_b 10.471
_cell_length_c 7.361
_cell_angle_alpha 90.00
_cell_angle_beta 134.55
_cell_angle_gamma 90.00
loop_
_atom_site_label
_atom_site_type_symbol
_atom_site_fract_x
_atom_site_fract_y
_atom_site_fract_z
Sr1 Sr 0.000 0.250 0.000
Zn1 Zn 0.000 0.000 0.500
In1 In 0.000 0.249 0.500
In2 In 0.250 0.000 0.500
In3 In 0.250 0.000 0.999
Rh1 Rh 0.000 0.500 0.500
```